(1)
Computed X-ray powder pattern
Compound: UCu2Sn
Radiation: CuKα
Structure: the PBE geometry in the Materials Project

Most intense lines, 2θ = 10–90°, in order of rising 2θ:
| d/Å | 2θ/deg | intensity |
| --- | --- | --- |
| 4.074 | 21.8 | 15 |
| 2.841 | 31.5 | 100 |
| 2.352 | 38.3 | 98 |
| 2.217 | 40.7 | 33 |
| 1.812 | 50.4 | 28 |
| 1.783 | 51.3 | 18 |
| 1.516 | 61.1 | 13 |
| 1.435 | 65.0 | 27 |
| 1.358 | 69.2 | 17 |
| 1.257 | 75.7 | 14 |

Structural model:
a b c (Å): 4.705 4.705 7.929
angles (deg): 90.00 90.00 120.00
Fractional coordinates of all 8 atoms:
U 0.000 0.000 0.000
U 0.000 0.000 0.500
Cu 0.333 0.667 0.103
Cu 0.333 0.667 0.397
Cu 0.667 0.333 0.603
Cu 0.667 0.333 0.897
Sn 0.333 0.667 0.750
Sn 0.667 0.333 0.250



(2)
Computed X-ray powder pattern
Compound: Y2Cu3Sn3
Radiation: CuKα
Structure: the PBE geometry in the Materials Project

Most intense lines, 2θ = 10–90°, in order of rising 2θ:
| d/Å | 2θ/deg | intensity |
| --- | --- | --- |
| 4.452 | 19.9 | 8 |
| 3.046 | 29.3 | 100 |
| 2.782 | 32.2 | 34 |
| 2.154 | 41.9 | 38 |
| 2.054 | 44.1 | 56 |
| 1.703 | 53.8 | 31 |
| 1.523 | 60.8 | 12 |
| 1.362 | 68.9 | 17 |
| 1.336 | 70.5 | 14 |
| 1.224 | 78.1 | 20 |

Structural model:
a b c (Å): 3.046 3.046 22.260
angles (deg): 90.00 90.00 90.00
Fractional coordinates of all 8 atoms:
Y 0.000 0.000 0.244
Y 0.000 0.000 0.756
Cu 0.000 0.000 0.117
Cu 0.000 0.000 0.500
Cu 0.000 0.000 0.883
Sn 0.000 0.000 0.000
Sn 0.000 0.000 0.386
Sn 0.000 0.000 0.614



(3)
Computed X-ray powder pattern
Compound: YCu5Sn
Radiation: CuKα
Structure: the PBE geometry in the Materials Project

Most intense lines, 2θ = 10–90°, in order of rising 2θ:
| d/Å | 2θ/deg | intensity |
| --- | --- | --- |
| 2.507 | 35.8 | 44 |
| 2.499 | 35.9 | 43 |
| 2.353 | 38.2 | 74 |
| 2.340 | 38.5 | 100 |
| 2.092 | 43.3 | 57 |
| 2.041 | 44.4 | 40 |
| 2.026 | 44.7 | 76 |
| 2.014 | 45.0 | 39 |
| 1.976 | 45.9 | 72 |
| 1.410 | 66.3 | 35 |

Structural model:
a b c (Å): 8.207 4.998 10.533
angles (deg): 90.00 90.00 90.00
Fractional coordinates of all 28 atoms:
Y 0.246 0.250 0.063
Y 0.254 0.750 0.563
Y 0.746 0.250 0.437
Y 0.754 0.750 0.937
Cu 0.058 0.750 0.103
Cu 0.065 0.001 0.313
Cu 0.065 0.499 0.313
Cu 0.087 0.250 0.518
Cu 0.186 0.250 0.746
Cu 0.314 0.750 0.246
Cu 0.413 0.750 0.018
Cu 0.435 0.501 0.813
Cu 0.435 0.999 0.813
Cu 0.442 0.250 0.603
Cu 0.558 0.750 0.397
Cu 0.565 0.001 0.187
Cu 0.565 0.499 0.187
Cu 0.587 0.250 0.982
Cu 0.686 0.250 0.754
Cu 0.814 0.750 0.254
Cu 0.913 0.750 0.482
Cu 0.935 0.501 0.687
Cu 0.935 0.999 0.687
Cu 0.942 0.250 0.897
Sn 0.141 0.750 0.861
Sn 0.359 0.250 0.361
Sn 0.641 0.750 0.639
Sn 0.859 0.250 0.139



(4)
Computed X-ray powder pattern
Compound: Y3Cu4Sn4
Radiation: CuKα
Structure: the PBE geometry in the Materials Project

Most intense lines, 2θ = 10–90°, in order of rising 2θ:
| d/Å | 2θ/deg | intensity |
| --- | --- | --- |
| 2.710 | 33.1 | 100 |
| 2.636 | 34.0 | 68 |
| 2.454 | 36.6 | 16 |
| 2.246 | 40.1 | 40 |
| 2.102 | 43.0 | 17 |
| 2.013 | 45.0 | 36 |
| 1.989 | 45.6 | 21 |
| 1.730 | 52.9 | 11 |
| 1.535 | 60.3 | 12 |
| 1.253 | 75.9 | 14 |

Structural model:
a b c (Å): 8.452 8.452 8.452
angles (deg): 149.18 131.22 58.82
Fractional coordinates of all 11 atoms:
Y 0.000 0.000 0.000
Y 0.369 0.869 0.500
Y 0.631 0.131 0.500
Cu 0.016 0.328 0.688
Cu 0.360 0.672 0.688
Cu 0.640 0.328 0.312
Cu 0.984 0.672 0.312
Sn 0.216 0.216 0.000
Sn 0.296 0.500 0.796
Sn 0.704 0.500 0.204
Sn 0.784 0.784 0.000



(5)
Computed X-ray powder pattern
Compound: SrCu5
Radiation: CuKα
Structure: the PBE geometry in the Materials Project

Most intense lines, 2θ = 10–90°, in order of rising 2θ:
| d/Å | 2θ/deg | intensity |
| --- | --- | --- |
| 3.010 | 29.7 | 22 |
| 2.640 | 34.0 | 24 |
| 2.287 | 39.4 | 33 |
| 2.203 | 41.0 | 100 |
| 1.999 | 45.4 | 26 |
| 1.985 | 45.7 | 29 |
| 1.505 | 61.6 | 17 |
| 1.424 | 65.5 | 23 |
| 1.320 | 71.5 | 19 |
| 1.102 | 88.8 | 21 |

Structural model:
a b c (Å): 5.281 5.281 3.997
angles (deg): 90.00 90.00 120.00
Fractional coordinates of all 6 atoms:
Sr 0.000 0.000 0.000
Cu 0.000 0.500 0.500
Cu 0.333 0.667 0.000
Cu 0.500 0.000 0.500
Cu 0.500 0.500 0.500
Cu 0.667 0.333 0.000



(6)
Computed X-ray powder pattern
Compound: SrCu
Radiation: CuKα
Structure: the PBE geometry in the Materials Project

Most intense lines, 2θ = 10–90°, in order of rising 2θ:
| d/Å | 2θ/deg | intensity |
| --- | --- | --- |
| 7.679 | 11.5 | 75 |
| 3.031 | 29.5 | 100 |
| 2.687 | 33.3 | 34 |
| 2.379 | 37.8 | 35 |
| 2.172 | 41.6 | 60 |
| 2.090 | 43.3 | 17 |
| 1.766 | 51.8 | 20 |
| 1.656 | 55.5 | 15 |
| 1.438 | 64.8 | 30 |
| 1.370 | 68.5 | 17 |

Structural model:
a b c (Å): 4.344 4.344 15.358
angles (deg): 90.00 90.00 120.00
Fractional coordinates of all 8 atoms:
Sr 0.333 0.667 0.120
Sr 0.333 0.667 0.380
Sr 0.667 0.333 0.620
Sr 0.667 0.333 0.880
Cu 0.000 0.000 0.250
Cu 0.000 0.000 0.750
Cu 0.333 0.667 0.750
Cu 0.667 0.333 0.250